For Ac2ScSn4Au3, a cell relaxed with GGA-PBE gives the simulated X-ray powder pattern in this record (a wavelength of 1.5418 Å).
No peak broadening, texture or thermal motion is included.

Structure:
Cell lengths 4.652, 4.652, 12.202 Å; angles 90.00, 90.00, 90.00 degrees
Space group P-4m2 (No. 115)
Inequivalent atoms, fractional coordinates:
Ac: 0.000 0.500 0.244
Sc: 0.000 0.000 0.500
Sn: 0.000 0.000 0.000
Sn: 0.000 0.500 0.639
Sn: 0.500 0.500 0.000
Au: 0.000 0.500 0.862
Au: 0.500 0.500 0.500

Largest 10 diffraction maxima, most intense first, 2θ from 15° to 90°:
30.9 deg, d 2.896, I = 100, hkl 1 1 2; 29.2 deg, d 3.062, I = 66, hkl 1 0 3; 38.7 deg, d 2.326, I = 63, hkl 2 0 0; 41.8 deg, d 2.161, I = 45, hkl 1 0 5; 58.3 deg, d 1.583, I = 35, hkl 2 1 5; 49.2 deg, d 1.852, I = 35, hkl 2 1 3; 65.2 deg, d 1.430, I = 24, hkl 3 1 2; 27.1 deg, d 3.290, I = 23, hkl 1 1 0; 55.9 deg, d 1.645, I = 22, hkl 2 2 0; 40.3 deg, d 2.237, I = 20, hkl 1 1 4

For Rb2F13, a cell relaxed with GGA-PBE gives the simulated X-ray powder pattern in this record (a wavelength of 1.5418 Å).
No peak broadening, texture or thermal motion is included.

Structure:
Cell lengths 5.528, 6.228, 7.983 Å; angles 105.53, 95.11, 91.18 degrees
Space group P-1 (No. 2)
Inequivalent atoms, fractional coordinates:
Rb: 0.207 0.132 0.299
F: 0.153 0.614 0.119
F: 0.238 0.098 0.927
F: 0.252 0.406 0.656
F: 0.265 0.655 0.619
F: 0.277 0.923 0.586
F: 0.395 0.604 0.210
F: 0.500 0.000 0.000

Largest 10 diffraction maxima, most intense first, 2θ from 15° to 90°:
33.6 deg, d 2.669, I = 100, hkl -1 1 2; 28.9 deg, d 3.089, I = 86, hkl 0 2 -1; 32.6 deg, d 2.750, I = 79, hkl 2 0 0; 36.8 deg, d 2.440, I = 55, hkl 1 1 -3; 24.0 deg, d 3.714, I = 52, hkl 0 1 -2; 34.7 deg, d 2.582, I = 50, hkl 1 2 0; 23.2 deg, d 3.829, I = 47, hkl 0 0 2; 37.0 deg, d 2.432, I = 45, hkl 2 -1 1; 36.5 deg, d 2.460, I = 43, hkl 1 1 2; 20.8 deg, d 4.272, I = 39, hkl 1 0 1

For Tl2GeO5, a cell relaxed with GGA-PBE gives the simulated X-ray powder pattern in this record (a wavelength of 1.5418 Å).
No peak broadening, texture or thermal motion is included.

Structure:
Cell lengths 6.142, 6.142, 13.359 Å; angles 90.00, 90.00, 90.00 degrees
Space group I4_1/amd (No. 141, origin choice 2)
Inequivalent atoms, fractional coordinates:
Tl: 0.000 0.000 0.000
Ge: 0.000 0.250 0.375
O: 0.000 0.002 0.305
O: 0.000 0.250 0.875

Largest 10 diffraction maxima, most intense first, 2θ from 15° to 90°:
24.7 deg, d 3.605, I = 100, hkl 1 0 3; 32.1 deg, d 2.790, I = 84, hkl 2 0 2; 15.9 deg, d 5.581, I = 79, hkl 1 0 1; 33.3 deg, d 2.691, I = 67, hkl 2 1 1; 50.1 deg, d 1.821, I = 58, hkl 2 2 4; 50.6 deg, d 1.803, I = 36, hkl 2 0 6; 38.5 deg, d 2.338, I = 30, hkl 2 1 3; 26.7 deg, d 3.340, I = 28, hkl 0 0 4; 41.6 deg, d 2.172, I = 24, hkl 2 2 0; 36.7 deg, d 2.450, I = 21, hkl 1 0 5